Structure and simulated X-ray powder pattern of AlV2O4 (a GGA+U-relaxed structure; Cu Kα, 1.54184 Å).
No peak broadening, texture or thermal motion is included.

Most intense lines, 2θ from 5° to 70°, most intense first:
- 2θ 38.71, d 2.326, I = 100
- 2θ 35.87, d 2.504, I = 67
- 2θ 36.63, d 2.453, I = 52
- 2θ 30.72, d 2.910, I = 44
- 2θ 19.08, d 4.652, I = 43
- 2θ 37.00, d 2.429, I = 42
- 2θ 38.04, d 2.366, I = 38
- 2θ 31.33, d 2.856, I = 36
- 2θ 18.76, d 4.731, I = 36
- 2θ 41.05, d 2.199, I = 30

Structure:
```
AlV2O4
1.0
5.3179 0.0000 0.0000
-0.7673 5.4704 0.0000
-2.2318 -2.2724 5.1670
Al V O
2 4 8
direct
0.1825 0.4431 0.3616
0.8175 0.5569 0.6384
0.0000 0.0000 0.5000
0.5000 0.0000 0.0000
0.5000 0.0000 0.5000
0.5000 0.5000 0.0000
0.0865 0.9108 0.7932
0.1294 0.3975 0.6648
0.2978 0.6510 0.1989
0.4678 0.2608 0.3228
0.5322 0.7392 0.6772
0.7022 0.3490 0.8011
0.8706 0.6025 0.3352
0.9135 0.0892 0.2068
```

Structure and simulated X-ray powder pattern of V3O5F (a GGA+U-relaxed structure; Cu Kα, 1.54184 Å).
No peak broadening, texture or thermal motion is included.

Most intense lines, 2θ from 5° to 70°, most intense first:
- 2θ 26.36, d 3.381, I = 100
- 2θ 27.54, d 3.238, I = 98
- 2θ 35.91, d 2.501, I = 47
- 2θ 54.30, d 1.690, I = 44
- 2θ 36.08, d 2.489, I = 44
- 2θ 52.86, d 1.732, I = 29
- 2θ 53.24, d 1.721, I = 27
- 2θ 54.44, d 1.685, I = 26
- 2θ 67.85, d 1.381, I = 20
- 2θ 41.40, d 2.181, I = 20

Structure:
```
V3O5F
1.0
4.4709 -3.2384 0.0000
4.4709 3.2384 0.0000
-3.1512 0.0000 6.6929
V O F
6 10 2
direct
0.0000 0.0000 0.0000
0.0000 0.0000 0.5000
0.3113 0.3113 0.3246
0.3264 0.3264 0.8544
0.6736 0.6736 0.1456
0.6887 0.6887 0.6754
0.0345 0.6357 0.3365
0.1035 0.1035 0.3080
0.2376 0.2376 0.0424
0.3004 0.6996 0.0000
0.3643 0.9655 0.6635
0.6357 0.0345 0.3365
0.6996 0.3004 0.0000
0.7624 0.7624 0.9576
0.8965 0.8965 0.6920
0.9655 0.3643 0.6635
0.4382 0.4382 0.6302
0.5618 0.5618 0.3698
```

Structure and simulated X-ray powder pattern of Y5Mo2O12 (a GGA+U-relaxed structure; Cu Kα, 1.54184 Å).
No peak broadening, texture or thermal motion is included.

Most intense lines, 2θ from 5° to 70°, most intense first:
- 2θ 27.43, d 3.252, I = 100
- 2θ 28.11, d 3.174, I = 100
- 2θ 39.93, d 2.258, I = 39
- 2θ 47.91, d 1.899, I = 27
- 2θ 55.73, d 1.650, I = 27
- 2θ 46.17, d 1.966, I = 26
- 2θ 32.85, d 2.727, I = 26
- 2θ 32.73, d 2.736, I = 26
- 2θ 33.38, d 2.685, I = 23
- 2θ 45.69, d 1.986, I = 21

Structure:
```
Y5Mo2O12
1.0
6.2028 -2.8919 0.0000
6.2028 2.8919 0.0000
-2.3509 0.0000 7.2217
Y Mo O
5 2 12
direct
0.0000 0.0000 0.0000
0.3049 0.3049 0.1393
0.3147 0.3147 0.6788
0.6853 0.6853 0.3212
0.6951 0.6951 0.8607
0.2184 0.7816 0.5000
0.7816 0.2184 0.5000
0.0010 0.0010 0.2946
0.0906 0.5804 0.4162
0.0975 0.5931 0.9254
0.4069 0.9025 0.0746
0.4196 0.9094 0.5838
0.4994 0.4994 0.3178
0.5006 0.5006 0.6822
0.5804 0.0906 0.4162
0.5931 0.0975 0.9254
0.9025 0.4069 0.0746
0.9094 0.4196 0.5838
0.9990 0.9990 0.7054
```

Structure and simulated X-ray powder pattern of Na3Ni2P2C2O14 (a GGA+U-relaxed structure; Cu Kα, 1.54184 Å).
No peak broadening, texture or thermal motion is included.

Most intense lines, 2θ from 5° to 70°, most intense first:
- 2θ 9.82, d 9.006, I = 100
- 2θ 16.87, d 5.257, I = 39
- 2θ 27.55, d 3.237, I = 34
- 2θ 25.88, d 3.442, I = 27
- 2θ 22.03, d 4.034, I = 21
- 2θ 34.11, d 2.628, I = 21
- 2θ 34.79, d 2.579, I = 19
- 2θ 20.09, d 4.420, I = 17
- 2θ 37.76, d 2.382, I = 15
- 2θ 24.38, d 3.651, I = 13

Structure:
```
Na3Ni2P2C2O14
1.0
8.2733 0.0000 0.0000
-1.8486 8.0757 0.0000
-0.1740 -0.1969 9.0056
Na Ni P C O
6 4 4 4 28
direct
0.0000 0.0000 0.0000
0.0037 0.5021 0.4939
0.2418 0.7534 0.0069
0.2534 0.2634 0.4836
0.7145 0.2751 0.9951
0.7312 0.7927 0.5029
0.1093 0.8642 0.5942
0.1449 0.3997 0.9007
0.6063 0.3639 0.5972
0.6399 0.8982 0.8940
0.3548 0.1124 0.8190
0.3875 0.6431 0.6763
0.8581 0.6194 0.8188
0.8942 0.1567 0.6725
0.1021 0.3677 0.1673
0.1389 0.8964 0.3260
0.6098 0.8686 0.1644
0.6388 0.4067 0.3291
0.0069 0.2763 0.0662
0.0247 0.7849 0.3866
0.0474 0.3028 0.7087
0.0840 0.3480 0.3038
0.1524 0.9129 0.1888
0.2078 0.9600 0.7840
0.2173 0.4790 0.1104
0.2359 0.9880 0.4239
0.2528 0.6949 0.5787
0.2883 0.2320 0.9222
0.3196 0.5761 0.8264
0.4246 0.1889 0.6740
0.4411 0.5109 0.5772
0.4860 0.0554 0.9174
0.5161 0.7729 0.0672
0.5276 0.2896 0.3832
0.5378 0.7896 0.7084
0.5915 0.8513 0.3006
0.6618 0.4257 0.1938
0.7128 0.4680 0.7849
0.7230 0.9832 0.1074
0.7282 0.5041 0.4298
0.7735 0.2243 0.5715
0.8052 0.7547 0.9133
0.8173 0.0876 0.8191
0.9252 0.6887 0.6678
0.9506 0.0246 0.5760
0.9916 0.5658 0.9164
```

Structure and simulated X-ray powder pattern of Li3Ni5O8 (a GGA+U-relaxed structure; Cu Kα, 1.54184 Å).
No peak broadening, texture or thermal motion is included.

Most intense lines, 2θ from 5° to 70°, most intense first:
- 2θ 43.93, d 2.061, I = 100
- 2θ 18.57, d 4.778, I = 91
- 2θ 43.62, d 2.075, I = 51
- 2θ 63.72, d 1.460, I = 42
- 2θ 37.68, d 2.387, I = 34
- 2θ 37.75, d 2.383, I = 32
- 2θ 63.58, d 1.463, I = 29
- 2θ 36.15, d 2.485, I = 28
- 2θ 35.95, d 2.498, I = 15
- 2θ 63.96, d 1.456, I = 14

Structure:
```
Li3Ni5O8
1.0
5.0682 -2.9112 0.0000
5.0682 2.9112 0.0000
-4.9836 0.0000 14.3370
Li Ni O
9 15 24
direct
0.0000 0.0000 0.0000
0.0000 0.5000 0.0000
0.1636 0.6695 0.6668
0.1652 0.1652 0.6664
0.3305 0.8364 0.3332
0.5000 0.0000 0.0000
0.6695 0.1636 0.6668
0.8348 0.8348 0.3336
0.8364 0.3305 0.3332
0.0841 0.0841 0.8337
0.0838 0.5842 0.8337
0.2483 0.7517 0.5000
0.2498 0.2498 0.5018
0.3324 0.3324 0.3333
0.4160 0.4160 0.1663
0.4158 0.9162 0.1663
0.5000 0.5000 0.0000
0.5842 0.0838 0.8337
0.5840 0.5840 0.8337
0.6676 0.6676 0.6667
0.7502 0.7502 0.4982
0.7517 0.2483 0.5000
0.9162 0.4158 0.1663
0.9159 0.9159 0.1663
0.0438 0.0438 0.4256
0.0492 0.5353 0.4184
0.1272 0.1272 0.2479
0.1281 0.6195 0.2487
0.2145 0.2145 0.0941
0.2142 0.7073 0.0861
0.2923 0.2923 0.9140
0.2927 0.7858 0.9139
0.3801 0.3801 0.7601
0.3805 0.8719 0.7513
0.4624 0.4624 0.5800
0.4647 0.9508 0.5816
0.5353 0.0492 0.4184
0.5376 0.5376 0.4200
0.6195 0.1281 0.2487
0.6199 0.6199 0.2399
0.7073 0.2142 0.0861
0.7077 0.7077 0.0860
0.7858 0.2927 0.9139
0.7855 0.7855 0.9059
0.8719 0.3805 0.7513
0.8728 0.8728 0.7521
0.9508 0.4647 0.5816
0.9562 0.9562 0.5744
```